1.
Pr3Zn2Ag3: simulated powder diffraction line list (CuKα), based on a PBE-relaxed structure.
Peak positions follow from Bragg's law for the DFT cell and can differ from measured ones.

The 10 most intense peaks (2θ = 15–90°), in order of falling intensity:
| d/Å | intensity |
| --- | --- |
| 2.596 | 100.0 |
| 2.911 | 97.6 |
| 2.427 | 78.3 |
| 2.492 | 74.8 |
| 2.711 | 59.7 |
| 2.259 | 53.5 |
| 3.089 | 49.8 |
| 2.675 | 47.1 |
| 2.723 | 38.4 |
| 1.951 | 37.1 |

Crystal structure
```
Pr3Zn2Ag3
1.0
8.3003 0.0000 0.0000
0.0000 16.3383 0.0000
0.0000 0.0000 5.7378
Pr Zn Ag
12 8 12
direct
0.0447 0.1064 0.1292
0.0447 0.3936 0.1292
0.1781 0.2500 0.6305
0.3219 0.7500 0.1305
0.4553 0.6064 0.6292
0.4553 0.8936 0.6292
0.5447 0.1064 0.3708
0.5447 0.3936 0.3708
0.6781 0.2500 0.8695
0.8219 0.7500 0.3695
0.9553 0.6064 0.8708
0.9553 0.8936 0.8708
0.1087 0.6083 0.3712
0.1087 0.8917 0.3712
0.3913 0.1083 0.8712
0.3913 0.3917 0.8712
0.6087 0.6083 0.1288
0.6087 0.8917 0.1288
0.8913 0.1083 0.6288
0.8913 0.3917 0.6288
0.1706 0.7500 0.6277
0.1812 0.0352 0.6001
0.1812 0.4648 0.6001
0.3188 0.5352 0.1001
0.3188 0.9648 0.1001
0.3294 0.2500 0.1277
0.6706 0.7500 0.8723
0.6812 0.0352 0.8999
0.6812 0.4648 0.8999
0.8188 0.5352 0.3999
0.8188 0.9648 0.3999
0.8294 0.2500 0.3723
```



2.
KSr2BiSe4: simulated powder diffraction line list (CuKα), based on a PBE-relaxed structure.
Peak positions follow from Bragg's law for the DFT cell and can differ from measured ones.

The 10 most intense peaks (2θ = 15–90°), in order of falling intensity:
| d/Å | intensity |
| --- | --- |
| 3.146 | 100.0 |
| 2.212 | 73.8 |
| 3.111 | 48.6 |
| 1.810 | 39.3 |
| 2.225 | 37.5 |
| 1.282 | 24.5 |
| 1.407 | 16.8 |
| 1.404 | 16.7 |
| 1.394 | 16.3 |
| 1.573 | 12.3 |

Crystal structure
```
KSr2BiSe4
1.0
-4.4491 4.4503 6.2224
4.4491 -4.4503 6.2224
4.4491 4.4503 -6.2224
K Sr Bi Se
2 4 2 8
direct
0.5000 0.0000 0.0000
0.5000 0.5000 0.5000
0.0000 0.0000 0.0000
0.0000 0.0000 0.5000
0.0000 0.5000 0.0000
0.5000 0.0000 0.5000
0.0000 0.5000 0.5000
0.5000 0.5000 0.0000
0.2313 0.7424 0.4889
0.2464 0.2576 0.9889
0.2467 0.2593 0.5126
0.2467 0.7341 0.9874
0.7533 0.2659 0.0126
0.7533 0.7407 0.4874
0.7536 0.7424 0.0111
0.7687 0.2576 0.5111
```